Computed powder XRD pattern
Compound: RbBaH4Pd
Radiation: CuKα
Structure: DFT lattice parameters and positions (PBE)
Peak positions follow from Bragg's law for the DFT cell and can differ from measured ones.

Most intense lines, 10 to 80 degrees two-theta, by intensity:
2θ = 28.80°, d = 3.099 Å, I 100
2θ = 32.93°, d = 2.720 Å, I 22
2θ = 33.92°, d = 2.643 Å, I 21
2θ = 36.55°, d = 2.459 Å, I 18
2θ = 48.00°, d = 1.895 Å, I 16
2θ = 56.30°, d = 1.634 Å, I 15
2θ = 10.96°, d = 8.076 Å, I 15
2θ = 57.60°, d = 1.600 Å, I 14
2θ = 33.28°, d = 2.692 Å, I 9
2θ = 47.52°, d = 1.914 Å, I 7

Crystal structure
a = 5.4397 Å, b = 16.1518 Å, c = 5.2851 Å
α = 90.00°, β = 90.00°, γ = 90.00°
Space group Cmcm (No. 63)
Inequivalent atoms, fractional coordinates:
Rb 0.0000 0.0996 0.2500 (multiplicity 4)
Ba 0.0000 0.3818 0.2500 (multiplicity 4)
H 0.0000 0.1186 0.7500 (multiplicity 4)
H 0.0000 0.4509 0.7500 (multiplicity 4)
H 0.2500 0.2500 0.0000 (multiplicity 8)
Pd 0.0000 0.2376 0.7500 (multiplicity 4)



Computed powder XRD pattern
Compound: AcAs2PdRh2
Radiation: CuKα
Structure: DFT lattice parameters and positions (PBE)
Peak positions follow from Bragg's law for the DFT cell and can differ from measured ones.

Most intense lines, 10 to 80 degrees two-theta, by intensity:
2θ = 36.87°, d = 2.438 Å, I 100
2θ = 37.84°, d = 2.377 Å, I 77
2θ = 53.86°, d = 1.702 Å, I 67
2θ = 26.51°, d = 3.362 Å, I 60
2θ = 30.91°, d = 2.893 Å, I 40
2θ = 54.59°, d = 1.681 Å, I 27
2θ = 78.47°, d = 1.219 Å, I 18
2θ = 67.70°, d = 1.384 Å, I 17
2θ = 18.66°, d = 4.755 Å, I 12
2θ = 61.69°, d = 1.504 Å, I 11

Crystal structure
a = 4.7550 Å, b = 4.7550 Å, c = 5.6785 Å
α = 90.00°, β = 90.00°, γ = 90.00°
Space group P4/mmm (No. 123)
Inequivalent atoms, fractional coordinates:
Ac 0.0000 0.0000 0.0000 (multiplicity 1)
As 0.0000 0.5000 0.5000 (multiplicity 2)
Pd 0.0000 0.0000 0.5000 (multiplicity 1)
Rh 0.5000 0.5000 0.2467 (multiplicity 2)



Computed powder XRD pattern
Compound: Ba2PaPd2O6
Radiation: CuKα
Structure: DFT lattice parameters and positions (PBE)
Peak positions follow from Bragg's law for the DFT cell and can differ from measured ones.

Most intense lines, 10 to 80 degrees two-theta, by intensity:
2θ = 27.95°, d = 3.192 Å, I 100
2θ = 30.78°, d = 2.905 Å, I 68
2θ = 51.26°, d = 1.782 Å, I 37
2θ = 42.06°, d = 2.148 Å, I 31
2θ = 49.46°, d = 1.843 Å, I 21
2θ = 56.43°, d = 1.631 Å, I 21
2θ = 57.77°, d = 1.596 Å, I 17
2θ = 66.90°, d = 1.399 Å, I 15
2θ = 26.39°, d = 3.378 Å, I 15
2θ = 71.36°, d = 1.322 Å, I 14

Crystal structure
a = 6.3835 Å, b = 6.3835 Å, c = 17.0685 Å
α = 90.00°, β = 90.00°, γ = 120.00°
Space group R-3m (No. 166, hexagonal axes)
Inequivalent atoms, fractional coordinates:
Ba 0.0000 0.0000 0.2168 (multiplicity 6)
Pa 0.0000 0.0000 0.0000 (multiplicity 3)
Pd 0.0000 0.0000 0.4139 (multiplicity 6)
O 0.0391 0.5195 0.7516 (multiplicity 18)



Computed powder XRD pattern
Compound: CsSrPu2Br8
Radiation: CuKα
Structure: DFT lattice parameters and positions (PBE)
Peak positions follow from Bragg's law for the DFT cell and can differ from measured ones.

Most intense lines, 10 to 80 degrees two-theta, by intensity:
2θ = 33.65°, d = 2.663 Å, I 100
2θ = 17.05°, d = 5.201 Å, I 83
2θ = 22.80°, d = 3.900 Å, I 67
2θ = 17.50°, d = 5.067 Å, I 57
2θ = 25.67°, d = 3.471 Å, I 55
2θ = 41.43°, d = 2.179 Å, I 46
2θ = 34.15°, d = 2.626 Å, I 45
2θ = 27.46°, d = 3.248 Å, I 33
2θ = 42.72°, d = 2.117 Å, I 31
2θ = 33.14°, d = 2.703 Å, I 31

Crystal structure
a = 7.1309 Å, b = 7.3996 Å, c = 9.3191 Å
α = 90.01°, β = 90.10°, γ = 91.50°
Space group P-1 (No. 2)
Inequivalent atoms, fractional coordinates:
Cs 0.0000 0.0000 0.0000 (multiplicity 1)
Sr 0.0000 0.0000 0.5000 (multiplicity 1)
Pu 0.5000 0.5001 0.2536 (multiplicity 2)
Br 0.2672 0.1708 0.2824 (multiplicity 2)
Br 0.2679 0.1699 0.7184 (multiplicity 2)
Br 0.2695 0.6508 0.4998 (multiplicity 2)
Br 0.2743 0.6079 0.9997 (multiplicity 2)



Computed powder XRD pattern
Compound: PmSBr
Radiation: CuKα
Structure: DFT lattice parameters and positions (PBE)
Peak positions follow from Bragg's law for the DFT cell and can differ from measured ones.

Most intense lines, 10 to 80 degrees two-theta, by intensity:
2θ = 12.98°, d = 6.823 Å, I 100
2θ = 27.61°, d = 3.231 Å, I 63
2θ = 31.33°, d = 2.855 Å, I 63
2θ = 25.14°, d = 3.543 Å, I 47
2θ = 43.26°, d = 2.091 Å, I 43
2θ = 35.96°, d = 2.498 Å, I 37
2θ = 41.23°, d = 2.190 Å, I 27
2θ = 47.01°, d = 1.933 Å, I 15
2θ = 57.01°, d = 1.615 Å, I 14
2θ = 42.65°, d = 2.120 Å, I 14

Crystal structure
a = 13.6456 Å, b = 4.2400 Å, c = 7.3272 Å
α = 90.00°, β = 90.00°, γ = 90.00°
Space group Aem2 (No. 39)
Inequivalent atoms, fractional coordinates:
Pm 0.2212 0.2500 0.0000 (multiplicity 4)
S 0.1350 0.2500 0.6668 (multiplicity 4)
Br 0.3575 0.2500 0.3340 (multiplicity 4)



Computed powder XRD pattern
Compound: CaPr2Cd2Sn2
Radiation: CuKα
Structure: DFT lattice parameters and positions (PBE)
Peak positions follow from Bragg's law for the DFT cell and can differ from measured ones.

Most intense lines, 10 to 80 degrees two-theta, by intensity:
2θ = 35.69°, d = 2.516 Å, I 100
2θ = 30.26°, d = 2.953 Å, I 80
2θ = 32.73°, d = 2.736 Å, I 43
2θ = 61.71°, d = 1.503 Å, I 29
2θ = 18.94°, d = 4.686 Å, I 29
2θ = 40.70°, d = 2.217 Å, I 25
2θ = 47.47°, d = 1.915 Å, I 23
2θ = 60.78°, d = 1.524 Å, I 22
2θ = 64.11°, d = 1.453 Å, I 18
2θ = 49.20°, d = 1.852 Å, I 14

Crystal structure
a = 5.0318 Å, b = 5.0318 Å, c = 28.1180 Å
α = 90.00°, β = 90.00°, γ = 120.00°
Space group R-3m (No. 166, hexagonal axes)
Inequivalent atoms, fractional coordinates:
Ca 0.0000 0.0000 0.0000 (multiplicity 3)
Pr 0.0000 0.0000 0.1301 (multiplicity 6)
Cd 0.0000 0.0000 0.4100 (multiplicity 6)
Sn 0.0000 0.0000 0.2633 (multiplicity 6)



Computed powder XRD pattern
Compound: HfNb2F
Radiation: CuKα
Structure: DFT lattice parameters and positions (PBE)
Peak positions follow from Bragg's law for the DFT cell and can differ from measured ones.

Most intense lines, 10 to 80 degrees two-theta, by intensity:
2θ = 27.11°, d = 3.290 Å, I 100
2θ = 28.18°, d = 3.167 Å, I 100
2θ = 39.77°, d = 2.267 Å, I 80
2θ = 39.23°, d = 2.296 Å, I 38
2θ = 58.27°, d = 1.583 Å, I 32
2θ = 45.16°, d = 2.008 Å, I 31
2θ = 37.64°, d = 2.389 Å, I 29
2θ = 58.47°, d = 1.578 Å, I 24
2θ = 49.43°, d = 1.844 Å, I 21
2θ = 65.04°, d = 1.434 Å, I 19

Crystal structure
a = 5.1497 Å, b = 5.1497 Å, c = 12.8282 Å
α = 90.00°, β = 90.00°, γ = 90.00°
Space group I-42d (No. 122)
Inequivalent atoms, fractional coordinates:
Hf 0.0000 0.0000 0.0000 (multiplicity 4)
Nb 0.0605 0.2500 0.6250 (multiplicity 8)
F 0.0000 0.0000 0.5000 (multiplicity 4)



- Which formula does entry 2 have?
  AcAs2PdRh2



- Number 6 is which compound?
  CaPr2Cd2Sn2